[1]
Structure and theoretical X-ray diffraction stick pattern of Na8TlCd3 (a cell relaxed with PBE; Cu Kα (weighted mean of Kα1 and Kα2)).

The 12 most intense peaks (2θ from 15° to 90°), in order of rising 2θ:
- 2θ 20.52, d 4.328, rel. 100
- 2θ 23.15, d 3.842, rel. 8
- 2θ 24.03, d 3.703, rel. 14
- 2θ 33.61, d 2.666, rel. 54
- 2θ 34.24, d 2.618, rel. 26
- 2θ 39.15, d 2.301, rel. 19
- 2θ 40.26, d 2.240, rel. 35
- 2θ 49.21, d 1.852, rel. 9
- 2θ 52.98, d 1.728, rel. 16
- 2θ 60.86, d 1.522, rel. 9
- 2θ 60.98, d 1.519, rel. 9
- 2θ 65.39, d 1.427, rel. 8

Structure:
```
Na8TlCd3
1.0
0.0000 5.2438 7.6849
5.2301 0.0000 7.6849
5.2301 5.2438 0.0000
Na Tl Cd
8 1 3
Cartesian
7.8517 5.2438 5.7711
5.2301 2.6132 5.7745
5.2301 2.6132 9.5953
7.8517 5.2438 9.5987
2.6085 5.2438 5.7711
5.2301 7.8744 5.7745
5.2301 7.8744 9.5953
2.6085 5.2438 9.5987
0.0000 0.0000 0.0000
2.6150 2.6219 3.8425
5.2301 5.2438 7.6849
7.8451 7.8657 11.5274
```



[2]
Structure and theoretical X-ray diffraction stick pattern of Na3Zn2Cd3 (a cell relaxed with PBE; Cu Kα (weighted mean of Kα1 and Kα2)).

The 12 most intense peaks (2θ from 15° to 90°), in order of rising 2θ:
- 2θ 20.40, d 4.354, rel. 51
- 2θ 20.51, d 4.330, rel. 100
- 2θ 31.68, d 2.824, rel. 79
- 2θ 32.57, d 2.749, rel. 26
- 2θ 36.68, d 2.450, rel. 14
- 2θ 37.13, d 2.422, rel. 38
- 2θ 37.38, d 2.405, rel. 41
- 2θ 39.76, d 2.267, rel. 60
- 2θ 40.14, d 2.246, rel. 25
- 2θ 41.72, d 2.165, rel. 18
- 2θ 47.01, d 1.933, rel. 13
- 2θ 52.56, d 1.741, rel. 15

Structure:
```
Na3Zn2Cd3
1.0
4.5381 0.0000 0.0000
-0.0476 5.6734 0.0000
-2.2306 -0.8724 7.7320
Na Zn Cd
3 2 3
Cartesian
0.0000 0.0000 0.0000
-0.0077 3.0661 2.4017
2.2676 1.7348 5.3303
0.0110 0.1842 3.5692
2.2489 4.6167 4.1628
-0.0158 4.0150 5.6720
2.2453 2.8367 0.0000
2.2757 0.7860 2.0600
```



[3]
Structure and theoretical X-ray diffraction stick pattern of Na16ZnCd12 (a cell relaxed with PBE; Cu Kα (weighted mean of Kα1 and Kα2)).

The 12 most intense peaks (2θ from 15° to 90°), in order of rising 2θ:
- 2θ 18.36, d 4.831, rel. 88
- 2θ 18.63, d 4.764, rel. 64
- 2θ 18.78, d 4.724, rel. 100
- 2θ 18.94, d 4.685, rel. 44
- 2θ 32.34, d 2.768, rel. 60
- 2θ 32.52, d 2.753, rel. 46
- 2θ 32.79, d 2.731, rel. 52
- 2θ 32.87, d 2.725, rel. 86
- 2θ 35.49, d 2.530, rel. 63
- 2θ 36.17, d 2.483, rel. 48
- 2θ 36.47, d 2.463, rel. 52
- 2θ 39.48, d 2.282, rel. 42

Structure:
```
Na16ZnCd12
1.0
5.7962 -8.2113 0.0000
5.7962 8.2113 0.0000
-5.4489 0.0000 8.2470
Na Zn Cd
16 1 12
Cartesian
0.0000 0.0000 0.0000
1.7559 5.3072 3.0249
-1.9465 0.0000 2.9794
-0.1752 5.5669 6.3634
-0.0844 2.4859 7.8802
3.2304 0.0000 0.5772
2.3978 3.1743 5.5009
0.6071 0.0000 5.7236
7.9572 4.8173 0.3355
4.3115 1.9950 3.1238
-0.0844 -2.4859 7.8802
1.7559 -5.3072 3.0249
4.3115 -1.9950 3.1238
-0.1752 -5.5669 6.3634
2.3978 -3.1743 5.5009
7.9572 -4.8173 0.3355
3.8647 0.0000 5.8190
-2.8168 1.5045 5.9352
-0.7836 3.0269 4.4905
1.1610 1.4651 2.8146
4.7570 5.1530 1.4751
-2.8168 -1.5045 5.9352
1.1610 -1.4651 2.8146
-0.7836 -3.0269 4.4905
3.0843 1.5156 8.1794
6.5187 0.0000 1.6002
4.7570 -5.1530 1.4751
6.4464 0.0000 4.6067
3.0843 -1.5156 8.1794
```



[4]
Structure and theoretical X-ray diffraction stick pattern of Na2ZnCd5 (a cell relaxed with PBE; Cu Kα (weighted mean of Kα1 and Kα2)).

The 12 most intense peaks (2θ from 15° to 90°), in order of rising 2θ:
- 2θ 19.65, d 4.517, rel. 16
- 2θ 19.90, d 4.462, rel. 21
- 2θ 27.95, d 3.192, rel. 25
- 2θ 34.34, d 2.612, rel. 51
- 2θ 34.53, d 2.598, rel. 100
- 2θ 34.74, d 2.582, rel. 49
- 2θ 39.91, d 2.259, rel. 66
- 2θ 40.43, d 2.231, rel. 32
- 2θ 57.72, d 1.597, rel. 21
- 2θ 57.85, d 1.594, rel. 21
- 2θ 58.39, d 1.581, rel. 21
- 2θ 68.80, d 1.365, rel. 12

Structure:
```
Na2ZnCd5
1.0
5.4563 -3.1948 0.0000
5.4563 3.1948 0.0000
-3.6771 0.0000 5.2231
Na Zn Cd
2 1 5
Cartesian
0.0000 0.0000 0.0000
3.6213 0.0000 2.6057
1.7790 0.0000 5.2165
-1.8359 0.0000 2.6115
4.5064 -1.5959 5.2205
0.8932 1.5975 2.6106
4.5064 1.5959 5.2205
0.8932 -1.5975 2.6106
```



[5]
Structure and theoretical X-ray diffraction stick pattern of Na2Zn5Cd5 (a cell relaxed with PBE; Cu Kα (weighted mean of Kα1 and Kα2)).

The 12 most intense peaks (2θ from 15° to 90°), in order of rising 2θ:
- 2θ 17.83, d 4.975, rel. 32
- 2θ 18.63, d 4.764, rel. 73
- 2θ 31.62, d 2.830, rel. 16
- 2θ 37.09, d 2.424, rel. 100
- 2θ 38.32, d 2.349, rel. 82
- 2θ 41.06, d 2.198, rel. 24
- 2θ 42.56, d 2.124, rel. 73
- 2θ 42.94, d 2.106, rel. 17
- 2θ 61.66, d 1.504, rel. 21
- 2θ 66.03, d 1.415, rel. 15
- 2θ 68.49, d 1.370, rel. 15
- 2θ 79.00, d 1.212, rel. 17

Structure:
```
Na2Zn5Cd5
1.0
4.6969 0.0000 0.0000
0.0000 5.4260 0.0000
0.0000 0.0000 9.9494
Na Zn Cd
2 5 5
Cartesian
0.0000 0.0000 0.0000
0.0000 2.7130 4.9747
2.3484 0.0000 4.9747
2.3484 1.3801 2.6492
2.3484 1.3801 7.3002
2.3484 4.0459 2.6492
2.3484 4.0459 7.3002
0.0000 0.0000 3.3140
0.0000 0.0000 6.6355
0.0000 2.7130 1.8012
0.0000 2.7130 8.1483
2.3484 2.7130 0.0000
```



[6]
Structure and theoretical X-ray diffraction stick pattern of Na2Zn15Cd2 (a cell relaxed with PBE; Cu Kα (weighted mean of Kα1 and Kα2)).

The 12 most intense peaks (2θ from 15° to 90°), in order of rising 2θ:
- 2θ 33.52, d 2.673, rel. 29
- 2θ 35.09, d 2.557, rel. 25
- 2θ 38.90, d 2.315, rel. 49
- 2θ 39.37, d 2.288, rel. 54
- 2θ 40.29, d 2.239, rel. 12
- 2θ 40.76, d 2.214, rel. 43
- 2θ 44.14, d 2.052, rel. 100
- 2θ 45.42, d 1.997, rel. 32
- 2θ 68.33, d 1.373, rel. 14
- 2θ 70.44, d 1.337, rel. 21
- 2θ 73.27, d 1.292, rel. 19
- 2θ 87.01, d 1.120, rel. 13

Structure:
```
Na2Zn15Cd2
1.0
4.6306 2.6735 4.4265
-4.6306 2.6735 4.4265
0.0000 -5.3470 4.4265
Na Zn Cd
2 15 2
Cartesian
0.0000 0.0000 2.0253
0.0000 0.0000 11.2541
-2.3153 -1.3367 4.4265
0.0000 -2.7521 4.2334
-2.3834 1.3760 4.2334
-1.4138 -2.4488 6.6397
-2.8276 0.0000 6.6397
-2.3834 -1.3760 9.0460
-2.3153 1.3367 8.8529
1.4138 -2.4487 6.6397
0.0000 2.6735 4.4265
-1.4138 2.4487 6.6397
2.3834 1.3760 4.2334
2.8276 0.0000 6.6397
1.4138 2.4487 6.6397
2.3834 -1.3760 9.0460
0.0000 2.7521 9.0460
0.0000 0.0000 5.1961
0.0000 0.0000 8.0833
```



[7]
Structure and theoretical X-ray diffraction stick pattern of NbCd6O8 (a cell relaxed with PBE; Cu Kα (weighted mean of Kα1 and Kα2)).

The 12 most intense peaks (2θ from 15° to 90°), in order of rising 2θ:
- 2θ 15.98, d 5.544, rel. 19
- 2θ 18.48, d 4.802, rel. 11
- 2θ 26.25, d 3.395, rel. 9
- 2θ 30.88, d 2.896, rel. 6
- 2θ 32.29, d 2.772, rel. 100
- 2θ 37.46, d 2.401, rel. 94
- 2θ 42.08, d 2.147, rel. 7
- 2θ 54.02, d 1.698, rel. 59
- 2θ 64.35, d 1.448, rel. 44
- 2θ 67.58, d 1.386, rel. 19
- 2θ 79.91, d 1.200, rel. 8
- 2θ 88.83, d 1.102, rel. 20

Structure:
```
NbCd6O8
1.0
0.0000 4.8017 4.8017
4.8017 0.0000 4.8017
4.8017 4.8017 0.0000
Nb Cd O
1 6 8
Cartesian
0.0000 0.0000 0.0000
2.4008 2.4008 0.0000
2.4008 0.0000 2.4008
4.8017 2.4008 2.4008
0.0000 2.4008 2.4008
2.4008 4.8017 2.4008
2.4008 2.4008 4.8017
4.8017 4.8017 2.0512
4.8017 2.0512 4.8017
7.5521 4.8017 4.8017
2.4008 2.4008 2.4008
7.2025 7.2025 7.2025
2.0512 4.8017 4.8017
4.8017 7.5521 4.8017
4.8017 4.8017 7.5521
```



[8]
Structure and theoretical X-ray diffraction stick pattern of NbCdO3 (a cell relaxed with PBE; Cu Kα (weighted mean of Kα1 and Kα2)).

The 12 most intense peaks (2θ from 15° to 90°), in order of rising 2θ:
- 2θ 24.62, d 3.616, rel. 100
- 2θ 26.78, d 3.328, rel. 68
- 2θ 31.05, d 2.880, rel. 38
- 2θ 31.64, d 2.828, rel. 13
- 2θ 33.04, d 2.711, rel. 98
- 2θ 35.83, d 2.506, rel. 38
- 2θ 41.69, d 2.166, rel. 14
- 2θ 46.86, d 1.939, rel. 33
- 2θ 47.98, d 1.896, rel. 13
- 2θ 49.37, d 1.846, rel. 40
- 2θ 56.51, d 1.628, rel. 21
- 2θ 61.34, d 1.511, rel. 13

Structure:
```
NbCdO3
1.0
6.9049 -1.5364 0.0000
6.9049 1.5364 0.0000
-1.9986 0.0000 7.2562
Nb Cd O
2 2 6
Cartesian
1.3724 0.0000 2.4978
10.4388 0.0000 4.7584
4.8100 0.0000 1.0319
7.0012 0.0000 6.2243
2.3288 0.0000 0.8968
3.3561 0.0000 3.2818
4.7507 0.0000 5.2914
7.0605 0.0000 1.9648
8.4551 0.0000 3.9744
9.4824 0.0000 6.3594
```



[9]
Structure and theoretical X-ray diffraction stick pattern of NbCdP2O8 (a cell relaxed with PBE; Cu Kα (weighted mean of Kα1 and Kα2)).

The 12 most intense peaks (2θ from 15° to 90°), in order of rising 2θ:
- 2θ 19.66, d 4.515, rel. 100
- 2θ 21.41, d 4.150, rel. 43
- 2θ 23.14, d 3.845, rel. 25
- 2θ 31.65, d 2.827, rel. 62
- 2θ 32.08, d 2.790, rel. 66
- 2θ 33.30, d 2.691, rel. 33
- 2θ 36.52, d 2.461, rel. 47
- 2θ 41.98, d 2.152, rel. 29
- 2θ 47.29, d 1.922, rel. 17
- 2θ 47.90, d 1.899, rel. 20
- 2θ 61.62, d 1.505, rel. 23
- 2θ 63.55, d 1.464, rel. 17

Structure:
```
NbCdP2O8
1.0
4.1513 -2.6906 0.0000
4.1513 2.6906 0.0000
-0.1762 0.0000 7.1735
Nb Cd P O
1 1 2 8
Cartesian
0.0000 0.0000 0.0000
-0.0881 0.0000 3.5868
2.7359 0.0000 5.4789
5.3905 0.0000 1.6946
3.6253 1.2859 5.6159
1.7549 0.0000 6.6992
2.0313 0.0000 4.1437
4.5011 1.2859 1.5576
3.6253 -1.2859 5.6159
6.0951 0.0000 3.0298
6.3716 0.0000 0.4743
4.5011 -1.2859 1.5576
```



[10]
Structure and theoretical X-ray diffraction stick pattern of RbNbCdO4 (a cell relaxed with PBE; Cu Kα (weighted mean of Kα1 and Kα2)).

The 12 most intense peaks (2θ from 15° to 90°), in order of rising 2θ:
- 2θ 18.68, d 4.750, rel. 37
- 2θ 20.34, d 4.366, rel. 36
- 2θ 21.63, d 4.109, rel. 33
- 2θ 24.85, d 3.582, rel. 32
- 2θ 28.13, d 3.172, rel. 100
- 2θ 28.61, d 3.120, rel. 59
- 2θ 29.08, d 3.070, rel. 46
- 2θ 32.33, d 2.769, rel. 60
- 2θ 32.94, d 2.719, rel. 41
- 2θ 35.30, d 2.543, rel. 36
- 2θ 36.46, d 2.465, rel. 70
- 2θ 37.88, d 2.375, rel. 34

Structure:
```
RbNbCdO4
1.0
6.2356 0.0000 0.0000
0.0000 6.3448 0.0000
-1.9432 0.0000 7.1649
Rb Nb Cd O
2 2 2 8
Cartesian
0.6452 1.5862 3.2861
3.6473 4.7586 3.8788
0.9692 4.7586 0.8905
3.3233 1.5862 6.2745
0.2751 1.5862 6.9475
4.0174 4.7586 0.2174
-1.2787 1.5862 5.3088
-1.3890 4.7586 6.2941
2.1716 3.3011 1.2517
2.1716 6.2161 1.2517
2.1208 0.1287 5.9133
2.1208 3.0437 5.9133
5.6815 1.5862 0.8709
5.5712 4.7586 1.8562
```